# 1
For Dy3Er5Tl, DFT lattice parameters and positions (GGA-PBE) gives the theoretical XRD peak list in this record (Cu Kα (λ = 1.5418 Å)).

Peak list (10 most intense, 2θ from 5° to 70°, in order of rising 2θ)
2θ (°), Rel. int.
9.26, 43
15.76, 69
31.27, 79
31.68, 100
31.83, 99
32.61, 78
35.60, 48
38.78, 56
39.90, 46
45.55, 42

Cell and atoms:
```
Dy3Er5Tl
1.0
5.977 -5.622 0.000
5.977 5.622 0.000
-3.330 0.000 9.555
Dy Er Tl
6 10 2
direct
0.000 0.000 0.000
0.000 0.000 0.313
0.000 0.000 0.687
0.497 0.497 0.828
0.500 0.500 0.500
0.503 0.503 0.172
0.055 0.574 0.705
0.231 0.769 0.500
0.236 0.236 0.557
0.250 0.250 0.907
0.426 0.945 0.295
0.574 0.055 0.705
0.750 0.750 0.093
0.764 0.764 0.443
0.769 0.231 0.500
0.945 0.426 0.295
0.267 0.267 0.229
0.733 0.733 0.771
```


# 2
For DyErTm4, DFT lattice parameters and positions (GGA-PBE) gives the theoretical XRD peak list in this record (Cu Kα (λ = 1.5418 Å)).

Peak list (10 most intense, 2θ from 5° to 70°, in order of rising 2θ)
2θ (°), Rel. int.
27.71, 50
31.36, 54
31.83, 92
35.82, 100
42.33, 32
54.43, 21
56.12, 19
58.76, 24
63.80, 25
64.17, 26

Cell and atoms:
```
DyErTm4
1.0
3.413 0.000 0.000
0.000 5.705 0.000
0.000 0.000 9.694
Dy Er Tm
1 1 4
direct
0.000 0.000 0.000
0.500 0.500 0.500
0.000 0.500 0.190
0.000 0.500 0.810
0.500 0.000 0.312
0.500 0.000 0.688
```


# 3
For Dy2Er4Tm7, DFT lattice parameters and positions (GGA-PBE) gives the theoretical XRD peak list in this record (Cu Kα (λ = 1.5418 Å)).

Peak list (9 most intense, 2θ from 5° to 70°, in order of rising 2θ)
2θ (°), Rel. int.
31.35, 100
36.36, 51
52.32, 18
52.40, 18
62.22, 11
62.34, 28
62.39, 4
65.37, 6
65.47, 6

Cell and atoms:
```
Dy2Er4Tm7
1.0
6.046 0.000 0.000
1.011 7.744 0.000
1.000 3.794 8.378
Dy Er Tm
2 4 7
direct
0.154 0.193 0.384
0.846 0.807 0.616
0.308 0.885 0.770
0.462 0.577 0.154
0.538 0.423 0.846
0.692 0.115 0.230
0.000 0.500 0.000
0.077 0.346 0.692
0.231 0.038 0.077
0.385 0.730 0.461
0.615 0.270 0.539
0.769 0.962 0.923
0.923 0.654 0.308
```


# 4
For Dy2ErTm8, DFT lattice parameters and positions (GGA-PBE) gives the theoretical XRD peak list in this record (Cu Kα (λ = 1.5418 Å)).

Peak list (7 most intense, 2θ from 5° to 70°, in order of rising 2θ)
2θ (°), Rel. int.
31.38, 100
36.35, 34
36.46, 17
52.41, 36
62.32, 28
62.46, 14
65.48, 12

Cell and atoms:
```
Dy2ErTm8
1.0
8.912 -2.464 0.000
8.912 2.464 0.000
-2.057 0.000 7.538
Dy Er Tm
2 1 8
direct
0.227 0.227 0.137
0.773 0.773 0.863
0.500 0.500 0.500
0.045 0.045 0.227
0.136 0.136 0.681
0.318 0.318 0.591
0.410 0.410 0.046
0.590 0.590 0.954
0.682 0.682 0.409
0.864 0.864 0.319
0.955 0.955 0.773
```


# 5
For Dy2Er3Tm8, DFT lattice parameters and positions (GGA-PBE) gives the theoretical XRD peak list in this record (Cu Kα (λ = 1.5418 Å)).

Peak list (10 most intense, 2θ from 5° to 70°, in order of rising 2θ)
2θ (°), Rel. int.
25.44, 19
29.98, 26
31.20, 31
32.60, 39
34.05, 100
35.61, 13
41.80, 10
49.05, 11
59.09, 27
59.91, 9

Cell and atoms:
```
Dy2Er3Tm8
1.0
3.734 -10.084 0.000
3.734 10.084 0.000
0.000 0.000 5.493
Dy Er Tm
2 3 8
direct
0.241 0.759 0.000
0.759 0.241 0.000
0.000 0.000 0.000
0.283 0.283 0.500
0.717 0.717 0.500
0.132 0.868 0.500
0.178 0.395 0.000
0.335 0.665 0.500
0.395 0.178 0.000
0.605 0.822 0.000
0.665 0.335 0.500
0.822 0.605 0.000
0.868 0.132 0.500
```


# 6
For Dy2Er9Tm3, DFT lattice parameters and positions (GGA-PBE) gives the theoretical XRD peak list in this record (Cu Kα (λ = 1.5418 Å)).

Peak list (10 most intense, 2θ from 5° to 70°, in order of rising 2θ)
2θ (°), Rel. int.
29.21, 100
30.81, 17
31.37, 38
31.72, 51
32.10, 18
33.19, 26
34.20, 59
36.40, 50
37.73, 16
59.53, 34

Cell and atoms:
```
Dy2Er9Tm3
1.0
-2.622 5.097 8.365
2.622 -5.097 8.365
2.622 5.097 -8.365
Dy Er Tm
2 9 3
direct
0.241 0.000 0.241
0.759 0.000 0.759
0.108 0.378 0.730
0.150 0.803 0.348
0.352 0.622 0.730
0.455 0.803 0.652
0.500 0.500 0.000
0.545 0.197 0.348
0.648 0.378 0.270
0.850 0.197 0.652
0.892 0.622 0.270
0.000 0.500 0.500
0.172 0.172 0.000
0.828 0.828 0.000
```